Starting from a structure optimized by DFT (PBE), the powder diffractogram of HfInAu3S4 was computed for Cu Kα.
Neutral-atom scattering factors, no anomalous dispersion.

Cell and atoms:
```
HfInAu3S4
1.0
5.846 0.000 0.000
0.000 7.779 0.000
-2.492 0.000 10.027
Hf In Au S
2 2 6 8
Direct
0.077 0.250 0.284
0.923 0.750 0.716
0.124 0.250 0.884
0.876 0.750 0.116
0.349 0.562 0.586
0.349 0.938 0.586
0.471 0.250 0.146
0.529 0.750 0.854
0.651 0.062 0.414
0.651 0.438 0.414
0.019 0.750 0.491
0.182 0.750 0.934
0.298 0.507 0.252
0.298 0.993 0.252
0.702 0.007 0.748
0.702 0.493 0.748
0.818 0.250 0.066
0.981 0.250 0.509
```

Principal peaks in the range 15° ≤ 2θ ≤ 90°, by angle:
19.68°, rel. 688, hkl 1 1 -1; 24.55°, rel. 1000, hkl 0 2 1; 28.84°, rel. 637, hkl 1 1 2; 32.29°, rel. 779, hkl 2 0 -2; 34.28°, rel. 784, hkl 1 0 3; 35.48°, rel. 491, hkl 1 0 -4; 38.15°, rel. 486, hkl 1 3 0; 40.61°, rel. 478, hkl 1 3 -2; 43.30°, rel. 672, hkl 2 2 -3; 51.26°, rel. 482, hkl 3 0 1